The following is a simulated powder diffraction line list of CoW. It was derived from a GGA-PBE-relaxed structure, using Cu Kα (λ = 1.5418 Å).
Lines closer than 0.1° are merged.

Cell and atoms:
```
CoW
1.0
4.8197 0.0000 0.0000
-2.4099 4.1740 0.0000
0.0000 0.0000 15.6415
Co W
12 12
Cartesian
-1.2049 2.0870 0.0000 Co
-1.2049 2.0870 7.8207 Co
0.0000 1.3198 3.9104 Co
-1.2669 3.5141 3.9104 Co
1.1429 0.6599 11.7311 Co
2.4099 0.0000 0.0000 Co
2.4099 0.0000 7.8207 Co
1.2049 2.0870 0.0000 Co
1.2049 2.0870 7.8207 Co
1.2669 3.5141 3.9104 Co
3.6768 0.6599 11.7311 Co
2.4099 2.8542 11.7311 Co
0.0000 0.0000 1.3490 W
0.0000 0.0000 6.4717 W
0.0000 0.0000 9.1698 W
0.0000 0.0000 14.2924 W
0.0000 2.7827 2.0039 W
0.0000 2.7827 5.8168 W
0.0000 2.7827 10.2870 W
0.0000 2.7827 13.1752 W
2.4099 1.3913 2.4663 W
2.4099 1.3913 5.3545 W
2.4099 1.3913 9.8247 W
2.4099 1.3913 13.6375 W
```

The 10 most intense peaks (2θ = 10–90°), in order of rising 2θ:
2θ/deg  intensity
22.74  20
37.31  85
40.81  62
44.14  100
44.95  30
46.08  18
67.30  16
69.66  23
72.04  24
79.55  21

The following is a simulated powder diffraction line list of Co4W11. It was derived from a GGA-PBE-relaxed structure, using Cu Kα (λ = 1.5418 Å).
Lines closer than 0.1° are merged.

Cell and atoms:
```
Co4W11
1.0
9.3587 0.0000 0.0000
0.0000 9.3587 0.0000
0.0000 0.0000 5.1316
Co W
8 22
Cartesian
0.3347 3.4052 0.0000 Co
1.2741 5.0140 2.5658 Co
3.4052 0.3347 0.0000 Co
4.3447 8.0845 2.5658 Co
5.0140 1.2741 2.5658 Co
5.9535 9.0240 0.0000 Co
8.0845 4.3447 2.5658 Co
9.0240 5.9535 0.0000 Co
0.0000 0.0000 2.5658 W
0.5200 2.5761 2.5658 W
0.9697 0.9697 0.0000 W
1.7774 7.5813 1.2774 W
1.7774 7.5813 3.8542 W
2.1032 5.1993 0.0000 W
2.5761 0.5200 2.5658 W
2.9019 2.9019 1.2884 W
2.9019 2.9019 3.8432 W
3.7097 5.6490 2.5658 W
4.1593 7.2554 0.0000 W
4.6793 4.6793 0.0000 W
5.1993 2.1032 0.0000 W
5.6490 3.7097 2.5658 W
6.4567 6.4567 1.2884 W
6.4567 6.4567 3.8432 W
6.7826 8.8387 2.5658 W
7.2554 4.1593 0.0000 W
7.5813 1.7774 1.2774 W
7.5813 1.7774 3.8542 W
8.3890 8.3890 0.0000 W
8.8387 6.7826 2.5658 W
```

The 10 most intense peaks (2θ = 10–90°), in order of rising 2θ:
2θ/deg  intensity
13.38  23
33.62  20
39.71  100
40.08  41
40.91  37
41.27  83
43.60  68
44.71  62
73.91  24
87.30  22

The following is a simulated powder diffraction line list of Co13W16. It was derived from a GGA-PBE-relaxed structure, using Cu Kα (λ = 1.5418 Å).
Lines closer than 0.1° are merged.

Cell and atoms:
```
Co13W16
1.0
-4.6246 4.6246 4.6246
4.6246 -4.6246 4.6246
4.6246 4.6246 -4.6246
Co W
13 16
Cartesian
0.0000 0.0000 0.0000 Co
2.5688 0.8282 -0.8282 Co
2.5688 -0.8282 0.8282 Co
6.6804 0.8282 0.8282 Co
0.8282 2.5688 -0.8282 Co
0.8282 -0.8282 2.5688 Co
-0.8282 2.5688 0.8282 Co
-0.8282 0.8282 2.5688 Co
3.7964 3.7964 2.0558 Co
3.7964 2.0558 3.7964 Co
0.8282 6.6804 0.8282 Co
0.8282 0.8282 6.6804 Co
2.0558 3.7964 3.7964 Co
3.1009 3.1009 -3.1009 W
4.9934 1.3504 -1.3504 W
3.1009 -3.1009 3.1009 W
4.9934 -1.3504 1.3504 W
4.2558 1.3504 1.3504 W
3.2742 3.2742 -0.3688 W
3.2742 -0.3688 3.2742 W
1.5237 1.5237 1.5237 W
1.3504 4.9934 -1.3504 W
1.3504 -1.3504 4.9934 W
1.3504 4.2558 1.3504 W
1.3504 1.3504 4.2558 W
-3.1009 3.1009 3.1009 W
-1.3504 4.9934 1.3504 W
-1.3504 1.3504 4.9934 W
-0.3688 3.2742 3.2742 W
```

The 10 most intense peaks (2θ = 10–90°), in order of rising 2θ:
2θ/deg  intensity
13.54  7
23.56  12
38.95  10
41.42  100
46.03  8
48.20  9
50.30  11
60.01  8
75.54  25
78.81  9

The following is a simulated powder diffraction line list of Co25W4. It was derived from a GGA-PBE-relaxed structure, using Cu Kα (λ = 1.5418 Å).
Lines closer than 0.1° are merged.

Cell and atoms:
```
Co25W4
1.0
-4.3315 4.3315 4.3315
4.3315 -4.3315 4.3315
4.3315 4.3315 -4.3315
Co W
25 4
Cartesian
0.0000 0.0000 0.0000 Co
2.4380 0.7914 -0.7914 Co
2.4380 -0.7914 0.7914 Co
4.6563 1.2142 -1.2142 Co
4.6563 -1.2142 1.2142 Co
6.2251 0.7914 0.7914 Co
0.7914 2.4380 -0.7914 Co
0.7914 -0.7914 2.4380 Co
4.0068 1.2142 1.2142 Co
3.1173 3.1173 -0.3247 Co
3.1173 -0.3247 3.1173 Co
-0.7914 2.4380 0.7914 Co
-0.7914 0.7914 2.4380 Co
1.2142 4.6563 -1.2142 Co
1.2142 -1.2142 4.6563 Co
1.2142 4.0068 1.2142 Co
1.2142 1.2142 4.0068 Co
3.5401 3.5401 1.8935 Co
3.5401 1.8935 3.5401 Co
-1.2142 4.6563 1.2142 Co
-1.2142 1.2142 4.6563 Co
-0.3247 3.1173 3.1173 Co
0.7914 6.2251 0.7914 Co
0.7914 0.7914 6.2251 Co
1.8935 3.5401 3.5401 Co
2.7731 2.7731 -2.7731 W
2.7731 -2.7731 2.7731 W
1.5584 1.5584 1.5584 W
-2.7731 2.7731 2.7731 W
```

The 10 most intense peaks (2θ = 10–90°), in order of rising 2θ:
2θ/deg  intensity
20.50  8
25.18  16
38.90  6
44.36  100
49.34  17
51.69  11
66.54  5
76.13  5
77.99  7
81.68  23

The following is a simulated powder diffraction line list of Co16W13. It was derived from a GGA-PBE-relaxed structure, using Cu Kα (λ = 1.5418 Å).
Lines closer than 0.1° are merged.

Cell and atoms:
```
Co16W13
1.0
-4.5515 4.5515 4.5515
4.5515 -4.5515 4.5515
4.5515 4.5515 -4.5515
Co W
16 13
Cartesian
3.0971 3.0971 -3.0971 Co
2.5654 0.8256 -0.8256 Co
2.5654 -0.8256 0.8256 Co
3.0971 -3.0971 3.0971 Co
6.5377 0.8256 0.8256 Co
0.8256 2.5654 -0.8256 Co
0.8256 -0.8256 2.5654 Co
1.4545 1.4545 1.4545 Co
-0.8256 2.5654 0.8256 Co
-0.8256 0.8256 2.5654 Co
3.7259 3.7259 1.9862 Co
3.7259 1.9862 3.7259 Co
-3.0971 3.0971 3.0971 Co
0.8256 6.5377 0.8256 Co
0.8256 0.8256 6.5377 Co
1.9862 3.7259 3.7259 Co
0.0000 0.0000 0.0000 W
5.0512 1.3333 -1.3333 W
5.0512 -1.3333 1.3333 W
4.0518 1.3333 1.3333 W
3.2183 3.2183 -0.4997 W
3.2183 -0.4997 3.2183 W
1.3333 5.0512 -1.3333 W
1.3333 -1.3333 5.0512 W
1.3333 4.0518 1.3333 W
1.3333 1.3333 4.0518 W
-1.3333 5.0512 1.3333 W
-1.3333 1.3333 5.0512 W
-0.4997 3.2183 3.2183 W
```

The 10 most intense peaks (2θ = 10–90°), in order of rising 2θ:
2θ/deg  intensity
13.76  9
23.95  17
34.12  12
36.95  13
39.60  12
42.11  100
46.81  17
51.17  18
76.97  25
80.33  11

The following is a simulated powder diffraction line list of Co4W25. It was derived from a GGA-PBE-relaxed structure, using Cu Kα (λ = 1.5418 Å).
Lines closer than 0.1° are merged.

Cell and atoms:
```
Co4W25
1.0
-4.8945 4.8945 4.8945
4.8945 -4.8945 4.8945
4.8945 4.8945 -4.8945
Co W
4 25
Cartesian
3.1180 3.1180 -3.1180 Co
3.1180 -3.1180 3.1180 Co
1.7766 1.7766 1.7766 Co
-3.1180 3.1180 3.1180 Co
0.0000 0.0000 0.0000 W
2.7994 0.9113 -0.9113 W
2.7994 -0.9113 0.9113 W
5.3868 1.3590 -1.3590 W
5.3868 -1.3590 1.3590 W
6.9897 0.9113 0.9113 W
0.9113 2.7994 -0.9113 W
0.9113 -0.9113 2.7994 W
4.4022 1.3590 1.3590 W
3.5355 3.5355 -0.4923 W
3.5355 -0.4923 3.5355 W
-0.9113 2.7994 0.9113 W
-0.9113 0.9113 2.7994 W
1.3590 5.3868 -1.3590 W
1.3590 -1.3590 5.3868 W
1.3590 4.4022 1.3590 W
1.3590 1.3590 4.4022 W
3.9832 3.9832 2.0951 W
3.9832 2.0951 3.9832 W
-1.3590 5.3868 1.3590 W
-1.3590 1.3590 5.3868 W
-0.4923 3.5355 3.5355 W
0.9113 6.9897 0.9113 W
0.9113 0.9113 6.9897 W
2.0951 3.9832 3.9832 W
```

The 10 most intense peaks (2θ = 10–90°), in order of rising 2θ:
2θ/deg  intensity
22.24  10
36.72  12
39.04  100
43.36  43
45.39  11
47.35  30
67.68  12
70.72  26
72.22  11
83.86  10

The following is a simulated powder diffraction line list of Co5W8. It was derived from a GGA-PBE-relaxed structure, using Cu Kα (λ = 1.5418 Å).
Lines closer than 0.1° are merged.

Cell and atoms:
```
Co5W8
1.0
2.5382 1.4654 8.5909
-2.5382 1.4654 8.5909
0.0000 -2.9309 8.5909
Co W
5 8
Cartesian
0.0000 0.0000 0.0000 Co
0.0000 0.0000 4.2563 Co
0.0000 0.0000 11.7644 Co
0.0000 0.0000 14.0084 Co
0.0000 0.0000 21.5165 Co
0.0000 -1.4572 6.4823 W
-1.2620 0.7286 6.4823 W
0.0000 0.0000 9.0335 W
-1.2620 -0.7286 19.2905 W
1.2620 0.7286 6.4823 W
0.0000 0.0000 16.7393 W
1.2620 -0.7286 19.2905 W
0.0000 1.4572 19.2905 W
```

The 10 most intense peaks (2θ = 10–90°), in order of rising 2θ:
2θ/deg  intensity
10.30  16
20.68  27
31.70  17
40.58  19
41.27  100
42.07  18
43.50  22
43.78  19
44.83  34
74.81  20

The following is a simulated powder diffraction line list of Co10W3. It was derived from a GGA-PBE-relaxed structure, using Cu Kα (λ = 1.5418 Å).
Lines closer than 0.1° are merged.

Cell and atoms:
```
Co10W3
1.0
2.3280 1.3441 8.3746
-2.3280 1.3441 8.3746
0.0000 -2.6882 8.3746
Co W
10 3
Cartesian
0.0000 0.0000 1.1812 Co
-1.1998 -0.6927 10.6042 Co
0.0000 0.0000 3.7216 Co
0.0000 -1.3854 14.5196 Co
-1.1998 0.6927 14.5196 Co
1.1998 -0.6927 10.6042 Co
0.0000 1.3854 10.6042 Co
0.0000 0.0000 21.4021 Co
1.1998 0.6927 14.5196 Co
0.0000 0.0000 23.9426 Co
0.0000 0.0000 8.4634 W
0.0000 0.0000 12.5619 W
0.0000 0.0000 16.6604 W
```

The 10 most intense peaks (2θ = 10–90°), in order of rising 2θ:
2θ/deg  intensity
22.33  42
38.68  63
43.21  21
44.53  100
45.64  37
48.66  32
52.03  22
74.08  22
80.20  24
82.95  19

The following is a simulated powder diffraction line list of Co10W3. It was derived from a GGA-PBE-relaxed structure, using Cu Kα (λ = 1.5418 Å).
Lines closer than 0.1° are merged.

Cell and atoms:
```
Co10W3
1.0
2.3159 1.3371 8.4561
-2.3159 1.3371 8.4561
0.0000 -2.6741 8.4561
Co W
10 3
Cartesian
-1.1824 -0.6827 10.6904 Co
0.0000 0.0000 3.8925 Co
0.0000 0.0000 8.5405 Co
0.0000 -1.3654 14.6777 Co
-1.1824 0.6827 14.6777 Co
1.1824 -0.6827 10.6904 Co
0.0000 1.3654 10.6904 Co
0.0000 0.0000 16.8277 Co
0.0000 0.0000 21.4757 Co
1.1824 0.6827 14.6777 Co
0.0000 0.0000 1.2694 W
0.0000 0.0000 12.6841 W
0.0000 0.0000 24.0987 W
```

The 10 most intense peaks (2θ = 10–90°), in order of rising 2θ:
2θ/deg  intensity
23.26  70
38.89  91
42.15  38
44.61  48
45.36  100
45.80  37
48.83  33
51.04  52
52.12  51
74.97  33

The following is a simulated powder diffraction line list of Co8W7. It was derived from a GGA-PBE-relaxed structure, using Cu Kα (λ = 1.5418 Å).
Lines closer than 0.1° are merged.

Cell and atoms:
```
Co8W7
1.0
9.1823 0.0000 0.0000
0.0000 9.1823 0.0000
0.0000 0.0000 4.7202
Co W
16 14
Cartesian
0.5890 2.4003 0.0000 Co
1.7160 7.4663 1.1810 Co
1.7160 7.4663 3.5392 Co
2.1908 5.1801 2.3601 Co
2.4003 0.5890 0.0000 Co
2.8752 2.8752 1.1791 Co
2.8752 2.8752 3.5411 Co
4.0021 6.9915 2.3601 Co
5.1801 2.1908 2.3601 Co
6.3071 6.3071 1.1791 Co
6.3071 6.3071 3.5411 Co
6.7819 8.5933 0.0000 Co
6.9915 4.0021 2.3601 Co
7.4663 1.7160 1.1810 Co
7.4663 1.7160 3.5392 Co
8.5933 6.7819 0.0000 Co
0.0000 0.0000 0.0000 W
0.3457 3.3888 2.3601 W
0.9479 0.9479 2.3601 W
1.2023 4.9369 0.0000 W
3.3888 0.3457 2.3601 W
3.6433 5.5390 0.0000 W
4.2454 7.9799 0.0000 W
4.5911 4.5911 2.3601 W
4.9369 1.2023 0.0000 W
5.5390 3.6433 0.0000 W
5.7935 8.8365 2.3601 W
7.9799 4.2454 0.0000 W
8.2344 8.2344 2.3601 W
8.8365 5.7935 2.3601 W
```

The 10 most intense peaks (2θ = 10–90°), in order of rising 2θ:
2θ/deg  intensity
19.33  26
36.32  22
38.13  30
40.51  32
41.73  23
43.10  27
44.27  24
45.01  100
46.14  30
73.73  24